1.
Calculated X-ray powder pattern
Compound: Al2ZnS4
Radiation: Cu Kα (λ = 1.5418 Å)
Structure: the GGA-PBE geometry in the Materials Project
Lines closer than 0.1° are merged.

Principal peaks in the range 2θ = 10–80°, by angle:
2θ (°)	intensity
21.74	89
28.04	44
28.36	100
29.61	33
34.18	51
39.00	39
42.69	29
49.43	87
50.98	62
54.60	39

Structure:
Cell: 3.6880 3.6880 36.7841 Å, 90.00 90.00 120.00°
Space group R3m (No. 160, hexagonal axes)
Symmetry-distinct sites (fractional):
Al1 0.0000 0.0000 0.0000 (multiplicity 3)
Al2 0.0000 0.0000 0.2339 (multiplicity 3)
Zn1 0.0000 0.0000 0.7684 (multiplicity 3)
S1 0.0000 0.0000 0.1208 (multiplicity 3)
S2 0.0000 0.0000 0.2947 (multiplicity 3)
S3 0.0000 0.0000 0.6971 (multiplicity 3)
S4 0.0000 0.0000 0.8758 (multiplicity 3)

2.
Calculated X-ray powder pattern
Compound: Al4ZnS7
Radiation: Cu Kα (λ = 1.5418 Å)
Structure: the GGA-PBE geometry in the Materials Project
Lines closer than 0.1° are merged.

Principal peaks in the range 2θ = 10–80°, by angle:
2θ (°)	intensity
14.73	100
19.78	24
22.68	19
27.09	35
27.26	37
28.94	38
30.78	42
47.74	25
48.07	25
52.48	51

Structure:
Cell: 15.237 6.543 6.170 Å, 90.00 90.00 90.00°
Space group Pmn2_1 (No. 31)
Symmetry-distinct sites (fractional):
Al1 0.125 0.153 0.000 (multiplicity 4)
Al2 0.245 0.674 0.999 (multiplicity 4)
Zn1 0.000 0.254 0.534 (multiplicity 2)
S1 0.000 0.321 0.894 (multiplicity 2)
S2 0.127 0.835 0.885 (multiplicity 4)
S3 0.129 0.184 0.369 (multiplicity 4)
S4 0.243 0.341 0.873 (multiplicity 4)

3.
Calculated X-ray powder pattern
Compound: Al2Zn2S5
Radiation: Cu Kα (λ = 1.5418 Å)
Structure: the GGA-PBE geometry in the Materials Project
Lines closer than 0.1° are merged.

Principal peaks in the range 2θ = 10–80°, by angle:
2θ (°)	intensity
23.48	51
28.62	100
31.71	74
36.85	25
41.09	96
45.84	48
49.53	85
53.71	27
55.51	26
66.25	21

Structure:
Cell: 3.6808 3.6808 30.3102 Å, 90.00 90.00 120.00°
Space group P6_3/mmc (No. 194)
Symmetry-distinct sites (fractional):
Al1 0.3333 0.6667 0.0863 (multiplicity 4)
Zn1 0.0000 0.0000 0.2004 (multiplicity 4)
S1 0.3333 0.6667 0.1581 (multiplicity 4)
S2 0.3333 0.6667 0.5539 (multiplicity 4)
S3 0.3333 0.6667 0.7500 (multiplicity 2)

4.
Calculated X-ray powder pattern
Compound: Al2ZnS4
Radiation: Cu Kα (λ = 1.5418 Å)
Structure: the GGA-PBE geometry in the Materials Project
Lines closer than 0.1° are merged.

Principal peaks in the range 2θ = 10–80°, by angle:
2θ (°)	intensity
13.34	36
14.37	45
26.87	39
27.71	100
28.97	59
31.37	54
40.58	39
47.98	56
49.53	26
52.79	30

Structure:
Cell: 6.165 3.681 6.636 Å, 90.00 90.33 90.00°
Space group Pm (No. 6)
Symmetry-distinct sites (fractional):
Al1 0.000 0.000 0.000 (multiplicity 1)
Al2 0.455 0.000 0.321 (multiplicity 1)
Zn1 0.990 0.500 0.515 (multiplicity 1)
S1 0.355 0.000 0.006 (multiplicity 1)
S2 0.370 0.500 0.513 (multiplicity 1)
S3 0.843 0.000 0.325 (multiplicity 1)
S4 0.850 0.500 0.843 (multiplicity 1)

5.
Calculated X-ray powder pattern
Compound: Al2ZnS4
Radiation: Cu Kα (λ = 1.5418 Å)
Structure: the GGA-PBE geometry in the Materials Project
Lines closer than 0.1° are merged.

Principal peaks in the range 2θ = 10–80°, by angle:
2θ (°)	intensity
17.00	11
18.66	19
23.54	13
29.19	100
37.83	9
48.16	22
48.80	42
57.31	25
58.45	12
79.03	10

Structure:
Cell: 5.344 5.344 10.429 Å, 90.00 90.00 90.00°
Space group I-4 (No. 82)
Symmetry-distinct sites (fractional):
Al1 0.000 0.000 0.000 (multiplicity 2)
Al2 0.000 0.500 0.250 (multiplicity 2)
Zn1 0.000 0.000 0.500 (multiplicity 2)
S1 0.241 0.243 0.870 (multiplicity 8)

6.
Calculated X-ray powder pattern
Compound: Al2ZnS4
Radiation: Cu Kα (λ = 1.5418 Å)
Structure: the GGA-PBE geometry in the Materials Project
Lines closer than 0.1° are merged.

Principal peaks in the range 2θ = 10–80°, by angle:
2θ (°)	intensity
20.68	76
29.02	62
29.87	16
32.42	94
41.17	21
42.10	100
46.20	17
50.55	27
50.66	46
55.12	28

Structure:
Cell: 12.475 7.222 5.911 Å, 90.00 90.00 90.00°
Space group Pnma (No. 62)
Symmetry-distinct sites (fractional):
Al1 0.000 0.000 0.000 (multiplicity 4)
Al2 0.085 0.250 0.411 (multiplicity 4)
Zn1 0.234 0.750 0.496 (multiplicity 4)
S1 0.076 0.750 0.768 (multiplicity 4)
S2 0.086 0.250 0.791 (multiplicity 4)
S3 0.160 0.003 0.240 (multiplicity 8)

7.
Calculated X-ray powder pattern
Compound: Al2Zn2S5
Radiation: Cu Kα (λ = 1.5418 Å)
Structure: the GGA-PBE geometry in the Materials Project
Lines closer than 0.1° are merged.

Principal peaks in the range 2θ = 10–80°, by angle:
2θ (°)	intensity
23.56	29
28.34	21
32.29	100
35.67	16
39.74	38
49.39	15
49.66	49
52.97	33
55.67	15
60.48	14

Structure:
Cell: 3.6718 3.6718 45.3142 Å, 90.00 90.00 120.00°
Space group R-3m (No. 166, hexagonal axes)
Symmetry-distinct sites (fractional):
Al1 0.0000 0.0000 0.2237 (multiplicity 6)
Zn1 0.0000 0.0000 0.3664 (multiplicity 6)
S1 0.0000 0.0000 0.0000 (multiplicity 3)
S2 0.0000 0.0000 0.1312 (multiplicity 6)
S3 0.0000 0.0000 0.2718 (multiplicity 6)

8.
Calculated X-ray powder pattern
Compound: Al2ZnS4
Radiation: Cu Kα (λ = 1.5418 Å)
Structure: the GGA-PBE geometry in the Materials Project
Lines closer than 0.1° are merged.

Principal peaks in the range 2θ = 10–80°, by angle:
2θ (°)	intensity
20.76	100
27.76	66
28.62	67
31.11	48
32.87	17
39.68	67
45.20	20
49.07	74
51.29	27
53.83	40

Structure:
Cell: 3.7128 3.7128 25.6686 Å, 90.00 90.00 120.00°
Space group P-3m1 (No. 164)
Symmetry-distinct sites (fractional):
Al1 0.0000 0.0000 0.2500 (multiplicity 2)
Al2 0.3333 0.6667 0.1064 (multiplicity 2)
Zn1 0.3333 0.6667 0.5867 (multiplicity 2)
S1 0.3333 0.6667 0.1921 (multiplicity 2)
S2 0.3333 0.6667 0.4307 (multiplicity 2)
S3 0.3333 0.6667 0.7082 (multiplicity 2)
S4 0.3333 0.6667 0.9304 (multiplicity 2)

9.
Calculated X-ray powder pattern
Compound: Al2Zn2S5
Radiation: Cu Kα (λ = 1.5418 Å)
Structure: the GGA-PBE geometry in the Materials Project
Lines closer than 0.1° are merged.

Principal peaks in the range 2θ = 10–80°, by angle:
2θ (°)	intensity
11.79	51
23.70	80
27.66	82
29.09	85
30.16	41
34.80	28
43.43	49
48.92	100
53.90	67
55.06	45

Structure:
Cell: 3.7235 3.7235 30.0359 Å, 90.00 90.00 120.00°
Space group P6_3mc (No. 186)
Symmetry-distinct sites (fractional):
Al1 0.0000 0.0000 0.0000 (multiplicity 2)
Al2 0.3333 0.6667 0.2724 (multiplicity 2)
Zn1 0.3333 0.6667 0.6231 (multiplicity 2)
Zn2 0.3333 0.6667 0.8808 (multiplicity 2)
S1 0.3333 0.6667 0.1485 (multiplicity 2)
S2 0.3333 0.6667 0.3479 (multiplicity 2)
S3 0.3333 0.6667 0.5385 (multiplicity 2)
S4 0.3333 0.6667 0.7450 (multiplicity 2)
S5 0.3333 0.6667 0.9553 (multiplicity 2)

10.
Calculated X-ray powder pattern
Compound: Al2ZnS4
Radiation: Cu Kα (λ = 1.5418 Å)
Structure: the GGA-PBE geometry in the Materials Project
Lines closer than 0.1° are merged.

Principal peaks in the range 2θ = 10–80°, by angle:
2θ (°)	intensity
15.39	39
15.57	40
24.77	36
27.52	100
28.47	89
31.00	40
40.16	37
48.93	61
51.88	39
57.25	47

Structure:
Cell: 14.016 3.751 6.434 Å, 90.00 116.53 90.00°
Space group Cm (No. 8)
Symmetry-distinct sites (fractional):
Al1 0.000 0.000 0.000 (multiplicity 2)
Al2 0.004 0.500 0.499 (multiplicity 2)
Zn1 0.207 0.500 0.382 (multiplicity 2)
S1 0.173 0.500 0.691 (multiplicity 2)
S2 0.175 0.000 0.144 (multiplicity 2)
S3 0.422 0.500 0.589 (multiplicity 2)
S4 0.425 0.000 0.091 (multiplicity 2)

11.
Calculated X-ray powder pattern
Compound: Sr5Al2Sb6
Radiation: Cu Kα (λ = 1.5418 Å)
Structure: the GGA-PBE geometry in the Materials Project
Lines closer than 0.1° are merged.

Principal peaks in the range 2θ = 10–80°, by angle:
2θ (°)	intensity
22.82	42
26.50	38
27.09	79
28.62	97
29.46	65
29.91	100
30.03	49
31.33	48
34.46	68
43.34	37

Structure:
Cell: 12.195 10.411 13.655 Å, 90.00 90.00 90.00°
Space group Pnma (No. 62)
Symmetry-distinct sites (fractional):
Sr1 0.081 0.026 0.238 (multiplicity 8)
Sr2 0.161 0.250 0.813 (multiplicity 4)
Sr3 0.168 0.020 0.534 (multiplicity 8)
Al1 0.080 0.750 0.934 (multiplicity 4)
Al2 0.189 0.750 0.701 (multiplicity 4)
Sb1 0.001 0.750 0.589 (multiplicity 4)
Sb2 0.046 0.750 0.376 (multiplicity 4)
Sb3 0.144 0.750 0.122 (multiplicity 4)
Sb4 0.150 0.250 0.063 (multiplicity 4)
Sb5 0.173 0.557 0.831 (multiplicity 8)

12.
Calculated X-ray powder pattern
Compound: ScAl
Radiation: Cu Kα (λ = 1.5418 Å)
Structure: the GGA-PBE geometry in the Materials Project
Lines closer than 0.1° are merged.

Principal peaks in the range 2θ = 10–80°, by angle:
2θ (°)	intensity
29.15	13
32.63	100
32.91	29
34.16	32
40.89	62
41.75	28
41.93	13
48.26	18
55.00	15
65.69	13

Structure:
Cell: 4.327 10.500 3.771 Å, 90.00 90.00 90.00°
Space group Cmcm (No. 63)
Symmetry-distinct sites (fractional):
Sc1 0.000 0.135 0.250 (multiplicity 4)
Al1 0.000 0.415 0.250 (multiplicity 4)